# 1
Structure and theoretical powder XRD pattern of LiMnF3 (a DFT-relaxed cell (PBE+U, Alexandria); λ = 1.5418 Å (Cu Kα)).
Peak positions follow from Bragg's law for the DFT cell and can differ from measured ones.

Most intense lines, 10° ≤ 2θ ≤ 80°, in order of rising 2θ:
2θ/deg, d [Å], I/Imax
19.7, 4.503, 14
27.0, 3.302, 100
34.5, 2.600, 11
39.3, 2.292, 36
40.0, 2.251, 7
42.3, 2.137, 9
44.3, 2.043, 24
51.5, 1.775, 49
57.4, 1.606, 22
60.8, 1.523, 9
61.8, 1.501, 21
79.2, 1.210, 8

Atomic structure:
Unit cell a=5.1994 b=5.1994 c=4.8566 alpha=90.00 beta=90.00 gamma=120.00
Fractional coordinates of all 10 atoms:
Li 0.0000 0.0000 0.2500
Li 0.0000 0.0000 0.7500
Mn 0.3333 0.6667 0.2500
Mn 0.6667 0.3333 0.7500
F 0.0000 0.3110 0.0000
F 0.0000 0.6890 0.5000
F 0.3110 0.0000 0.0000
F 0.3110 0.3110 0.5000
F 0.6890 0.0000 0.5000
F 0.6890 0.6890 0.0000



# 2
Structure and theoretical powder XRD pattern of LiMn3F10 (a DFT-relaxed cell (PBE+U, Alexandria); λ = 1.5418 Å (Cu Kα)).
Peak positions follow from Bragg's law for the DFT cell and can differ from measured ones.

Most intense lines, 10° ≤ 2θ ≤ 80°, in order of rising 2θ:
2θ/deg, d [Å], I/Imax
10.4, 8.484, 44
11.9, 7.465, 43
15.2, 5.829, 100
19.7, 4.509, 31
21.1, 4.211, 36
21.3, 4.165, 27
23.8, 3.732, 87
28.2, 3.163, 16
28.3, 3.152, 16
29.1, 3.065, 15
41.4, 2.181, 29
48.8, 1.867, 20

Atomic structure:
Unit cell a=6.2094 b=8.0927 c=9.6985 alpha=110.90 beta=108.56 gamma=91.52
Fractional coordinates of all 28 atoms:
Li 0.1711 0.0263 0.3616
Li 0.8289 0.9737 0.6384
Mn 0.2481 0.5040 0.0008
Mn 0.3137 0.4848 0.6283
Mn 0.4279 0.0115 0.8389
Mn 0.5721 0.9885 0.1611
Mn 0.6863 0.5152 0.3717
Mn 0.7519 0.4960 0.9992
F 0.0000 0.5000 0.5000
F 0.0027 0.3282 0.9564
F 0.1488 0.0294 0.7089
F 0.1595 0.4705 0.7873
F 0.2601 0.2407 0.5326
F 0.2995 0.9983 0.9950
F 0.3725 0.7336 0.7327
F 0.3737 0.5265 0.2114
F 0.4074 0.9662 0.2827
F 0.5004 0.3168 0.9562
F 0.5000 0.5000 0.5000
F 0.4996 0.6832 0.0438
F 0.5926 0.0338 0.7173
F 0.6263 0.4735 0.7886
F 0.6275 0.2664 0.2673
F 0.7005 0.0017 0.0050
F 0.7399 0.7593 0.4674
F 0.8405 0.5295 0.2127
F 0.8512 0.9706 0.2911
F 0.9973 0.6718 0.0436



# 3
Structure and theoretical powder XRD pattern of Li2Mn3F10 (a DFT-relaxed cell (PBE+U, Alexandria); λ = 1.5418 Å (Cu Kα)).
Peak positions follow from Bragg's law for the DFT cell and can differ from measured ones.

Most intense lines, 10° ≤ 2θ ≤ 80°, in order of rising 2θ:
2θ/deg, d [Å], I/Imax
10.0, 8.817, 57
11.7, 7.582, 42
15.4, 5.772, 75
19.8, 4.493, 36
21.0, 4.236, 32
21.5, 4.129, 36
23.5, 3.791, 100
28.3, 3.155, 37
28.8, 3.098, 20
41.5, 2.175, 38
48.0, 1.896, 22
51.1, 1.787, 15

Atomic structure:
Unit cell a=9.8036 b=9.8036 c=8.0108 alpha=107.86 beta=107.86 gamma=36.30
Fractional coordinates of all 30 atoms:
Li 0.0619 0.0619 0.4276
Li 0.2114 0.2114 0.5411
Li 0.7886 0.7886 0.4589
Li 0.9381 0.9381 0.5724
Mn 0.2527 0.7473 0.0000
Mn 0.3174 0.3174 0.9962
Mn 0.4140 0.4140 0.5119
Mn 0.5860 0.5860 0.4881
Mn 0.6826 0.6826 0.0038
Mn 0.7473 0.2527 0.0000
F 0.0000 0.5000 0.0000
F 0.0205 0.0205 0.1747
F 0.0812 0.6352 0.5337
F 0.1642 0.6346 0.9960
F 0.2636 0.7364 0.5000
F 0.2857 0.2857 0.7530
F 0.3569 0.3569 0.2420
F 0.3654 0.8358 0.0040
F 0.3648 0.9188 0.4663
F 0.4745 0.4745 0.8139
F 0.5000 0.0000 0.0000
F 0.5255 0.5255 0.1861
F 0.6352 0.0812 0.5337
F 0.6346 0.1642 0.9960
F 0.6431 0.6431 0.7580
F 0.7143 0.7143 0.2470
F 0.7364 0.2636 0.5000
F 0.8358 0.3654 0.0040
F 0.9188 0.3648 0.4663
F 0.9795 0.9795 0.8253